No. 1
Starting from the PBE geometry in the Materials Project, the XRD peak list of Tm3Ge3Ru2 was calculated for Cu Ka.
Neutral-atom scattering factors, no anomalous dispersion.

Principal peaks in the range 10 to 90 degrees two-theta, low angle first:
2θ/deg  Rel. int.
33.47  732
34.15  184
34.54  1000
36.63  261
38.34  639
38.95  194
39.15  231
42.21  204
42.64  469
64.85  194

Crystal structure
```
Tm3Ge3Ru2
1.0
2.1204 -5.3489 0.0000
2.1204 5.3489 0.0000
0.0000 0.0000 13.8060
Tm Ge Ru
6 6 4
Direct
0.0773 0.9227 0.6137
0.0773 0.9227 0.8863
0.3536 0.6464 0.7500
0.6464 0.3536 0.2500
0.9227 0.0773 0.1137
0.9227 0.0773 0.3863
0.3390 0.6610 0.2500
0.3857 0.6143 0.5406
0.3857 0.6143 0.9594
0.6143 0.3857 0.0406
0.6143 0.3857 0.4594
0.6610 0.3390 0.7500
0.2128 0.7872 0.0833
0.2128 0.7872 0.4167
0.7872 0.2128 0.5833
0.7872 0.2128 0.9167
```

***

No. 2
Starting from the PBE geometry in the Materials Project, the XRD peak list of Zr3Fe2Sb3 was calculated for Cu Ka.
Neutral-atom scattering factors, no anomalous dispersion.

Principal peaks in the range 10 to 90 degrees two-theta, low angle first:
2θ/deg  Rel. int.
27.29  409
27.53  279
34.62  175
35.65  1000
35.76  211
35.90  167
41.92  388
42.41  663
46.70  215
56.25  110

Crystal structure
```
Zr3Fe2Sb3
1.0
6.8476 0.0000 0.0000
0.0000 4.3098 0.0000
-0.0849 0.0000 22.0702
Zr Fe Sb
12 8 12
Direct
0.0000 0.0000 0.0000
0.0000 0.0000 0.3342
0.0075 0.0000 0.6648
0.0151 0.5000 0.4854
0.0157 0.5000 0.8140
0.0181 0.5000 0.1491
0.5083 0.0000 0.6482
0.5104 0.5000 0.4994
0.5114 0.5000 0.1664
0.5145 0.0000 0.9800
0.5158 0.5000 0.8311
0.5168 0.0000 0.3149
0.1557 0.0000 0.5489
0.1576 0.0000 0.2160
0.1586 0.0000 0.8830
0.6535 0.0000 0.0972
0.6541 0.0000 0.7647
0.6556 0.0000 0.4313
0.8575 0.5000 0.9333
0.8591 0.5000 0.2667
0.2446 0.5000 0.6071
0.2451 0.5000 0.9413
0.2460 0.5000 0.2757
0.2793 0.0000 0.7680
0.2814 0.0000 0.4354
0.2818 0.0000 0.1014
0.7392 0.5000 0.0448
0.7412 0.5000 0.3791
0.7439 0.5000 0.7072
0.7765 0.0000 0.5458
0.7788 0.0000 0.2079
0.7808 0.0000 0.8745
```

***

No. 3
Starting from the PBE geometry in the Materials Project, the XRD peak list of K3Bi2As3O12 was calculated for Cu Ka.
Neutral-atom scattering factors, no anomalous dispersion.

Principal peaks in the range 10 to 90 degrees two-theta, low angle first:
2θ/deg  Rel. int.
13.70  882
18.57  226
19.42  328
26.02  212
27.27  310
27.61  569
28.92  1000
29.69  216
31.64  285
31.74  287

Crystal structure
```
K3Bi2As3O12
1.0
7.1139 -7.0256 0.0000
7.1139 7.0256 0.0000
-3.0026 0.0000 6.5192
K Bi As O
6 4 6 24
Direct
0.0000 0.0000 0.0000
0.0000 0.0000 0.5000
0.2241 0.7759 0.7500
0.4861 0.5139 0.7500
0.5139 0.4861 0.2500
0.7759 0.2241 0.2500
0.1160 0.4121 0.8343
0.4121 0.1160 0.3343
0.5879 0.8840 0.6657
0.8840 0.5879 0.1657
0.1498 0.3613 0.3607
0.2538 0.7462 0.2500
0.3613 0.1498 0.8607
0.6387 0.8502 0.1393
0.7462 0.2538 0.7500
0.8502 0.6387 0.6393
0.0482 0.4163 0.1557
0.0754 0.2095 0.3605
0.1077 0.7424 0.3274
0.1630 0.4919 0.5910
0.2095 0.0754 0.8605
0.2576 0.8923 0.1726
0.2649 0.6013 0.0480
0.3161 0.3430 0.3375
0.3430 0.3161 0.8375
0.3987 0.7351 0.4520
0.4163 0.0482 0.6557
0.4919 0.1630 0.0910
0.5081 0.8370 0.9090
0.5837 0.9518 0.3443
0.6013 0.2649 0.5480
0.6570 0.6839 0.1625
0.6839 0.6570 0.6625
0.7351 0.3987 0.9520
0.7424 0.1077 0.8274
0.7905 0.9246 0.1395
0.8370 0.5081 0.4090
0.8923 0.2576 0.6726
0.9246 0.7905 0.6395
0.9518 0.5837 0.8443
```

***

No. 4
Starting from the PBE geometry in the Materials Project, the XRD peak list of GePt3 was calculated for Cu Ka.
Neutral-atom scattering factors, no anomalous dispersion.

Principal peaks in the range 10 to 90 degrees two-theta, low angle first:
2θ/deg  Rel. int.
31.73  141
37.63  370
39.23  1000
45.12  225
45.85  250
49.86  168
66.29  168
70.32  147
79.08  106
79.29  132

Crystal structure
```
GePt3
1.0
-2.7988 2.7988 4.0185
2.7988 -2.7988 4.0185
2.7988 2.7988 -4.0185
Ge Pt
2 6
Direct
0.2500 0.7500 0.5000
0.7500 0.2500 0.5000
0.1953 0.6953 0.8906
0.2500 0.2500 0.0000
0.3047 0.1953 0.5000
0.6953 0.8047 0.5000
0.7500 0.7500 0.0000
0.8047 0.3047 0.1094
```